Diffraction record for Ca3Ac2Cd3. The powder diffraction line list is theoretical, not measured: it uses DFT lattice parameters and positions (PBE) and CuKα.

Lattice parameters (Å, degrees): 3.853 5.712 24.328 90.00 90.00 90.00
Space group Immm (No. 71)
Symmetry-distinct sites (fractional):
Ca (0.000, 0.000, 0.000)
Ca (0.000, 0.500, 0.115)
Ac (0.000, 0.000, 0.225)
Cd (0.000, 0.000, 0.500)
Cd (0.000, 0.500, 0.392)

Top 10 peaks for 5° ≤ 2θ ≤ 70°, in order of rising 2θ:
hkl 0 0 2, 7.27°, I = 37; hkl 0 1 3, 19.00°, I = 29; hkl 1 1 2, 28.90°, I = 20; hkl 1 0 5, 29.58°, I = 14; hkl 0 1 7, 30.10°, I = 21; hkl 0 2 0, 31.32°, I = 33; hkl 1 1 4, 31.64°, I = 100; hkl 1 0 7, 34.75°, I = 15; hkl 1 0 11, 47.44°, I = 20; hkl 1 3 4, 55.95°, I = 19

---

Diffraction record for CaAc5Cd6. The powder diffraction line list is theoretical, not measured: it uses DFT lattice parameters and positions (PBE) and CuKα.

Lattice parameters (Å, degrees): 5.709 17.195 8.095 90.00 90.00 90.00
Space group Cmmm (No. 65)
Symmetry-distinct sites (fractional):
Ca (0.000, 0.000, 0.000)
Ac (0.000, 0.000, 0.500)
Ac (0.000, 0.331, 0.500)
Ac (0.000, 0.335, 0.000)
Cd (0.000, 0.162, 0.244)
Cd (0.000, 0.500, 0.241)

Top 10 peaks for 5° ≤ 2θ ≤ 70°, in order of rising 2θ:
hkl 1 1 1, 19.72°, I = 3; hkl 0 0 2, 21.97°, I = 8; hkl 1 3 2, 31.25°, I = 100; hkl 2 0 0, 31.34°, I = 20; hkl 2 6 0, 44.81°, I = 22; hkl 1 3 4, 50.42°, I = 4; hkl 0 6 4, 55.58°, I = 23; hkl 3 3 2, 55.72°, I = 23; hkl 2 6 4, 65.22°, I = 10; hkl 4 0 0, 65.39°, I = 2

---

Diffraction record for CaAc3Cd8. The powder diffraction line list is theoretical, not measured: it uses DFT lattice parameters and positions (PBE) and CuKα.

Lattice parameters (Å, degrees): 6.2577 6.2577 9.8515 90.00 90.00 120.00
Space group P3m1 (No. 156)
Symmetry-distinct sites (fractional):
Ca (0.0000, 0.0000, 0.0000)
Ac (0.0000, 0.0000, 0.3805)
Ac (0.6667, 0.3333, 0.4963)
Ac (0.6667, 0.3333, 0.8805)
Cd (0.1638, 0.3275, 0.6925)
Cd (0.3333, 0.6667, 0.4391)
Cd (0.3333, 0.6667, 0.9384)
Cd (0.5014, 0.0027, 0.1864)

Top 10 peaks for 5° ≤ 2θ ≤ 70°, in order of rising 2θ:
hkl 1 1 0, 28.53°, I = 40; hkl 1 0 3, 31.86°, I = 69; hkl 1 1 2, 33.94°, I = 100; hkl 0 2 1, 34.32°, I = 69; hkl 0 0 4, 36.48°, I = 14; hkl 2 1 3, 52.67°, I = 32; hkl 3 0 2, 54.07°, I = 26; hkl 2 0 5, 57.86°, I = 31; hkl 2 2 0, 59.05°, I = 27; hkl 1 3 3, 68.68°, I = 15

---

Diffraction record for Ca2AcCo. The powder diffraction line list is theoretical, not measured: it uses DFT lattice parameters and positions (PBE) and CuKα.

Lattice parameters (Å, degrees): 7.700 3.874 10.222 90.00 107.97 90.00
Space group P2_1/m (No. 11)
Symmetry-distinct sites (fractional):
Ca (0.117, 0.250, 0.294)
Ca (0.282, 0.750, 0.017)
Ac (0.355, 0.750, 0.639)
Co (0.045, 0.250, 0.553)

Top 10 peaks for 5° ≤ 2θ ≤ 70°, in order of rising 2θ:
hkl 0 0 1, 9.10°, I = 100; hkl 1 0 -2, 18.53°, I = 34; hkl 0 1 1, 24.74°, I = 26; hkl 1 1 0, 26.02°, I = 19; hkl 1 0 -3, 26.42°, I = 19; hkl 2 0 1, 28.57°, I = 17; hkl 0 1 2, 29.48°, I = 22; hkl 2 1 0, 33.68°, I = 33; hkl 2 1 -3, 38.66°, I = 19; hkl 1 1 3, 41.01°, I = 20

---

Diffraction record for Ca2Ac2Ga4Co. The powder diffraction line list is theoretical, not measured: it uses DFT lattice parameters and positions (PBE) and CuKα.

Lattice parameters (Å, degrees): 7.366 7.366 8.465 90.00 90.00 90.00
Space group I4/mmm (No. 139)
Symmetry-distinct sites (fractional):
Ca (0.000, 0.000, 0.189)
Ac (0.000, 0.500, 0.250)
Ga (0.227, 0.227, 0.500)
Co (0.000, 0.000, 0.500)

Top 10 peaks for 5° ≤ 2θ ≤ 70°, in order of rising 2θ:
hkl 1 1 0, 17.02°, I = 34; hkl 2 0 0, 24.16°, I = 18; hkl 1 1 2, 27.15°, I = 59; hkl 2 0 2, 32.22°, I = 100; hkl 2 2 0, 34.44°, I = 59; hkl 0 0 4, 42.73°, I = 14; hkl 3 1 2, 44.39°, I = 29; hkl 4 0 0, 49.50°, I = 20; hkl 2 2 4, 55.99°, I = 24; hkl 4 2 2, 60.30°, I = 30

---

Diffraction record for Ca2Ac6CoIr. The powder diffraction line list is theoretical, not measured: it uses DFT lattice parameters and positions (PBE) and CuKα.

Lattice parameters (Å, degrees): 8.285 8.301 11.707 90.00 90.00 90.00
Space group Immm (No. 71)
Symmetry-distinct sites (fractional):
Ca (0.000, 0.000, 0.250)
Ac (0.000, 0.500, 0.246)
Ac (0.246, 0.254, 0.000)
Co (0.000, 0.500, 0.000)
Ir (0.000, 0.500, 0.500)

Top 10 peaks for 5° ≤ 2θ ≤ 70°, in order of rising 2θ:
hkl 1 1 0, 15.12°, I = 69; hkl 2 0 2, 26.34°, I = 93; hkl 2 2 0, 30.51°, I = 100; hkl 3 1 0, 34.21°, I = 40; hkl 4 0 0, 43.69°, I = 76; hkl 3 3 0, 46.48°, I = 20; hkl 4 2 2, 51.72°, I = 38; hkl 2 0 6, 51.79°, I = 8; hkl 4 0 4, 54.22°, I = 27; hkl 4 4 0, 63.45°, I = 8